For La4Zr8Ni15As16, a GGA-PBE-relaxed structure gives the theoretical X-ray diffraction stick pattern in this record (Cu Kα).
Neutral-atom scattering factors, no anomalous dispersion.

Cell and atoms:
Unit cell a=9.4185 b=3.9691 c=19.7077 alpha=90.00 beta=97.68 gamma=90.00
Fractional positions:
La  0.0000  0.0000  0.0000
La  0.0007  0.0000  0.5028
La  0.2590  0.5000  0.7508
La  0.2720  0.5000  0.2553
Zr  0.4940  0.5000  0.1047
Zr  0.4955  0.5000  0.6055
Zr  0.5063  0.5000  0.9292
Zr  0.5081  0.5000  0.4312
Zr  0.7634  0.0000  0.8250
Zr  0.7642  0.0000  0.3253
Zr  0.7778  0.0000  0.1510
Zr  0.7888  0.0000  0.6520
Ni  0.0234  0.5000  0.8687
Ni  0.0252  0.5000  0.3682
Ni  0.0703  0.0000  0.1740
Ni  0.2014  0.5000  0.0817
Ni  0.2035  0.5000  0.5820
Ni  0.2472  0.0000  0.3873
Ni  0.2479  0.0000  0.8885
Ni  0.3451  0.0000  0.5158
Ni  0.3458  0.0000  0.0161
Ni  0.5207  0.0000  0.2183
Ni  0.5233  0.0000  0.7174
Ni  0.7505  0.5000  0.0373
Ni  0.7511  0.5000  0.5374
Ni  0.9241  0.5000  0.7416
Ni  0.9263  0.5000  0.2402
As  0.0415  0.0000  0.7957
As  0.0433  0.0000  0.2964
As  0.2284  0.5000  0.4595
As  0.2284  0.5000  0.9595
As  0.3022  0.0000  0.6375
As  0.3040  0.0000  0.1371
As  0.4640  0.0000  0.8332
As  0.4687  0.0000  0.3359
As  0.6062  0.0000  0.0269
As  0.6080  0.0000  0.5285
As  0.6651  0.5000  0.2287
As  0.6657  0.5000  0.7280
As  0.8022  0.5000  0.9199
As  0.8053  0.5000  0.4206
As  0.9676  0.5000  0.1186
As  0.9709  0.5000  0.6210

Largest 8 diffraction maxima, low angle first, 2θ from 10° to 90°:
two_theta	Rel. int.
31.98	27
33.48	64
35.67	100
36.28	57
36.89	49
38.58	34
38.85	41
45.72	72



For LaAsO4, a GGA-PBE-relaxed structure gives the theoretical X-ray diffraction stick pattern in this record (Cu Kα).
Neutral-atom scattering factors, no anomalous dispersion.

Cell and atoms:
Unit cell a=6.8524 b=7.3022 c=8.5066 alpha=90.00 beta=126.08 gamma=90.00
Fractional positions:
La  0.1880  0.1529  0.2839
La  0.1880  0.3471  0.7839
La  0.8120  0.6529  0.2161
La  0.8120  0.8471  0.7161
As  0.3079  0.6621  0.1961
As  0.3079  0.8379  0.6961
As  0.6921  0.1621  0.3039
As  0.6921  0.3379  0.8039
O  0.1051  0.6586  0.6082
O  0.1051  0.8414  0.1082
O  0.1728  0.0033  0.7461
O  0.1728  0.4967  0.2461
O  0.3467  0.6054  0.0192
O  0.3467  0.8946  0.5192
O  0.3979  0.2126  0.1181
O  0.3979  0.2874  0.6181
O  0.6021  0.7126  0.3819
O  0.6021  0.7874  0.8819
O  0.6533  0.1054  0.4808
O  0.6533  0.3946  0.9808
O  0.8272  0.5033  0.7539
O  0.8272  0.9967  0.2539
O  0.8949  0.1586  0.8918
O  0.8949  0.3414  0.3918

Largest 8 diffraction maxima, low angle first, 2θ from 10° to 90°:
two_theta	Rel. int.
25.92	55
27.66	100
29.64	66
32.33	25
44.40	32
46.15	28
48.92	24
50.31	24



For LaAsO3, a GGA-PBE-relaxed structure gives the theoretical X-ray diffraction stick pattern in this record (Cu Kα).
Neutral-atom scattering factors, no anomalous dispersion.

Cell and atoms:
Unit cell a=4.4547 b=5.3780 c=6.2840 alpha=90.00 beta=105.69 gamma=90.00
Fractional positions:
La  0.1630  0.2500  0.2995
La  0.8370  0.7500  0.7005
As  0.4222  0.2500  0.8553
As  0.5778  0.7500  0.1447
O  0.1668  0.7500  0.1185
O  0.3063  0.0013  0.6567
O  0.3063  0.4987  0.6567
O  0.6937  0.5013  0.3433
O  0.6937  0.9987  0.3433
O  0.8332  0.2500  0.8815

Largest 8 diffraction maxima, low angle first, 2θ from 10° to 90°:
two_theta	Rel. int.
26.58	100
27.55	95
29.53	40
33.32	57
34.00	81
35.52	36
40.66	51
44.44	52



For LaAsO4, a GGA-PBE-relaxed structure gives the theoretical X-ray diffraction stick pattern in this record (Cu Kα).
Neutral-atom scattering factors, no anomalous dispersion.

Cell and atoms:
Unit cell a=7.0516 b=7.0516 c=7.0516 alpha=136.36 beta=136.36 gamma=63.42
Fractional positions:
La  0.3750  0.1250  0.2500
La  0.6250  0.8750  0.7500
As  0.1250  0.3750  0.7500
As  0.8750  0.6250  0.2500
O  0.0719  0.2036  0.3724
O  0.1995  0.5719  0.3683
O  0.2964  0.1689  0.8683
O  0.3311  0.6995  0.1276
O  0.6689  0.3005  0.8724
O  0.7036  0.8311  0.1317
O  0.8005  0.4281  0.6317
O  0.9281  0.7964  0.6276

Largest 8 diffraction maxima, low angle first, 2θ from 10° to 90°:
two_theta	Rel. int.
28.30	100
29.79	17
34.21	21
45.99	29
51.96	18
57.70	27
58.55	13
74.33	13



For LaAsO4, a GGA-PBE-relaxed structure gives the theoretical X-ray diffraction stick pattern in this record (Cu Kα).
Neutral-atom scattering factors, no anomalous dispersion.

Cell and atoms:
Unit cell a=6.2343 b=6.2343 c=6.2343 alpha=106.42 beta=106.42 gamma=115.75
Fractional positions:
La  0.3750  0.6250  0.7500
La  0.6250  0.3750  0.2500
As  0.1250  0.8750  0.2500
As  0.8750  0.1250  0.7500
O  0.1369  0.7093  0.4277
O  0.2184  0.2907  0.9277
O  0.2907  0.2184  0.4277
O  0.2907  0.8631  0.0723
O  0.7093  0.1369  0.9277
O  0.7093  0.7816  0.5723
O  0.7816  0.7093  0.0723
O  0.8631  0.2907  0.5723

Largest 8 diffraction maxima, low angle first, 2θ from 10° to 90°:
two_theta	Rel. int.
23.83	100
31.88	72
33.96	23
47.26	60
48.78	15
55.00	14
59.46	17
70.27	15



For LaAsRuO, a GGA-PBE-relaxed structure gives the theoretical X-ray diffraction stick pattern in this record (Cu Kα).
Neutral-atom scattering factors, no anomalous dispersion.

Cell and atoms:
Unit cell a=4.1876 b=4.1876 c=9.1159 alpha=90.00 beta=90.00 gamma=90.00
Fractional positions:
La  0.2500  0.2500  0.2102
La  0.7500  0.7500  0.7898
As  0.2500  0.2500  0.5548
As  0.7500  0.7500  0.4452
Ru  0.2500  0.7500  0.0000
Ru  0.7500  0.2500  0.0000
O  0.2500  0.7500  0.5000
O  0.7500  0.2500  0.5000

Largest 8 diffraction maxima, low angle first, 2θ from 10° to 90°:
two_theta	Rel. int.
23.38	100
28.95	69
31.77	64
36.18	93
36.54	77
42.63	88
43.21	96
57.84	40



For La4As2S6O3, a GGA-PBE-relaxed structure gives the theoretical X-ray diffraction stick pattern in this record (Cu Kα).
Neutral-atom scattering factors, no anomalous dispersion.

Cell and atoms:
Unit cell a=11.7407 b=11.7407 c=11.7407 alpha=117.66 beta=70.27 gamma=150.86
Fractional positions:
La  0.0742  0.1007  0.1754
La  0.2215  0.8922  0.1137
La  0.2785  0.3922  0.6707
La  0.4253  0.6007  0.0265
La  0.5742  0.3988  0.9735
La  0.7215  0.6078  0.3293
La  0.7785  0.1078  0.8863
La  0.9253  0.8988  0.8246
As  0.0135  0.4941  0.2709
As  0.2231  0.7425  0.7291
As  0.5135  0.2425  0.5194
As  0.7231  0.9941  0.4806
S  0.0794  0.8017  0.8736
S  0.1117  0.3300  0.4646
S  0.2268  0.6378  0.8529
S  0.2849  0.1378  0.4110
S  0.3654  0.8300  0.2183
S  0.4281  0.3017  0.7222
S  0.5794  0.7058  0.2778
S  0.6117  0.1472  0.7817
S  0.7268  0.8739  0.5890
S  0.7849  0.3739  0.1471
S  0.8654  0.6472  0.5354
S  0.9281  0.2058  0.1264
O  0.0990  0.2554  0.8437
O  0.2565  0.2565  0.0000
O  0.4116  0.2553  0.1563
O  0.5990  0.7553  0.8437
O  0.7565  0.7565  0.0000
O  0.9116  0.7554  0.1563

Largest 8 diffraction maxima, low angle first, 2θ from 10° to 90°:
two_theta	Rel. int.
25.00	21
25.21	100
27.88	28
29.39	36
30.26	39
32.66	53
36.08	24
42.69	23



For La4As2S5O4, a GGA-PBE-relaxed structure gives the theoretical X-ray diffraction stick pattern in this record (Cu Kα).
Neutral-atom scattering factors, no anomalous dispersion.

Cell and atoms:
Unit cell a=4.2198 b=8.3153 c=9.6950 alpha=101.99 beta=102.11 gamma=91.93
Fractional positions:
La  0.0000  0.0000  0.0000
La  0.0050  0.4982  0.9951
La  0.3702  0.1824  0.7377
La  0.3773  0.6858  0.7399
As  0.6763  0.9537  0.3678
As  0.9460  0.3855  0.3685
S  0.1400  0.1261  0.3680
S  0.5626  0.3018  0.1577
S  0.6279  0.7645  0.1571
S  0.7712  0.4066  0.5784
S  0.8386  0.8712  0.5795
O  0.4413  0.4658  0.8645
O  0.4427  0.9701  0.8719
O  0.9406  0.2160  0.8668
O  0.9433  0.7199  0.8693

Largest 8 diffraction maxima, low angle first, 2θ from 10° to 90°:
two_theta	Rel. int.
25.59	98
25.86	100
28.96	31
29.67	59
30.71	49
32.20	91
32.40	71
55.82	27



For LaZn2AsO2, a GGA-PBE-relaxed structure gives the theoretical X-ray diffraction stick pattern in this record (Cu Kα).
Neutral-atom scattering factors, no anomalous dispersion.

Cell and atoms:
Unit cell a=3.6667 b=3.6667 c=12.3584 alpha=90.00 beta=90.00 gamma=90.00
Fractional positions:
La  0.0000  0.0000  0.0000
Zn  0.0000  0.0000  0.3168
Zn  0.0000  0.0000  0.6832
As  0.0000  0.0000  0.5000
O  0.0000  0.0000  0.1728
O  0.0000  0.0000  0.8272

Largest 8 diffraction maxima, low angle first, 2θ from 10° to 90°:
two_theta	Rel. int.
24.27	100
32.70	16
34.60	39
38.09	14
49.73	14
50.85	22
56.09	19
57.11	15